(1)
Calculated powder diffraction line list of In3Sb for CuKα, from a crystal structure in Alexandria, relaxed with PBE.
Intensities are scaled so that the largest is 100.

Structural model:
Cell: 5.3989 5.3989 5.3989 Å, 60.00 60.00 60.00°
Fractional coordinates of all 4 atoms:
1 In 0.0000 0.0000 0.0000
2 In 0.2500 0.2500 0.2500
3 In 0.7500 0.7500 0.7500
4 Sb 0.5000 0.5000 0.5000

Most intense lines, 2θ = 10–90°, sorted by position:
2θ (°), intensity
33.2, 100
47.6, 18
59.3, 36
69.7, 11
79.4, 15
88.8, 4

(2)
Calculated powder diffraction line list of Ni5Ru3 for CuKα, from a crystal structure in Alexandria, relaxed with PBE.
Intensities are scaled so that the largest is 100.

Structural model:
Cell: 6.6453 6.6453 4.9047 Å, 109.04 109.04 85.26°
Fractional coordinates of all 16 atoms:
1 Ni 0.0418 0.9582 0.7500
2 Ni 0.1650 0.5871 0.5056
3 Ni 0.2069 0.2901 0.7445
4 Ni 0.2901 0.2069 0.2445
5 Ni 0.4129 0.8350 0.9944
6 Ni 0.5871 0.1650 0.0056
7 Ni 0.7099 0.7931 0.7555
8 Ni 0.7931 0.7099 0.2555
9 Ni 0.8350 0.4129 0.4944
10 Ni 0.9582 0.0418 0.2500
11 Ru 0.0786 0.6698 0.0037
12 Ru 0.3302 0.9214 0.4963
13 Ru 0.4554 0.5446 0.2500
14 Ru 0.5446 0.4554 0.7500
15 Ru 0.6698 0.0786 0.5037
16 Ru 0.9214 0.3302 0.9963

Most intense lines, 2θ = 10–90°, sorted by position:
2θ (°), intensity
40.1, 22
40.3, 52
43.5, 76
45.8, 100
46.0, 94
46.1, 94
60.6, 26
72.9, 30
81.5, 33
89.0, 27

(3)
Calculated powder diffraction line list of Cs2HfTe4 for CuKα, from a crystal structure in Alexandria, relaxed with PBE.
Intensities are scaled so that the largest is 100.

Structural model:
Cell: 8.4922 4.2391 9.0799 Å, 90.00 109.11 90.00°
Fractional coordinates of all 7 atoms:
1 Cs 0.1953 0.0000 0.3194
2 Cs 0.8047 0.0000 0.6806
3 Hf 0.5000 0.5000 0.0000
4 Te 0.1374 0.5000 0.9266
5 Te 0.4142 0.0000 0.7688
6 Te 0.5858 0.0000 0.2312
7 Te 0.8626 0.5000 0.0734

Most intense lines, 2θ = 10–90°, sorted by position:
2θ (°), intensity
10.3, 100
21.2, 50
23.4, 72
29.6, 95
29.9, 32
31.6, 35
34.8, 30
36.5, 30
42.7, 28
44.1, 36

(4)
Calculated powder diffraction line list of YAlAg for CuKα, from a crystal structure in Alexandria, relaxed with PBE.
Intensities are scaled so that the largest is 100.

Structural model:
Cell: 8.0126 8.0126 8.0126 Å, 149.38 149.38 43.86°
Fractional coordinates of all 6 atoms:
1 Y 0.1656 0.1656 0.0000
2 Y 0.8344 0.8344 0.0000
3 Al 0.0000 0.5000 0.5000
4 Al 0.5000 0.0000 0.5000
5 Ag 0.3797 0.3797 0.0000
6 Ag 0.6203 0.6203 0.0000

Most intense lines, 2θ = 10–90°, sorted by position:
2θ (°), intensity
23.9, 45
29.9, 91
37.0, 58
38.6, 100
42.7, 57
49.6, 24
57.7, 30
60.1, 27
75.5, 26
76.6, 26

(5)
Calculated powder diffraction line list of BePd4 for CuKα, from a crystal structure in Alexandria, relaxed with PBE.
Intensities are scaled so that the largest is 100.

Structural model:
Cell: 5.1842 5.1842 7.6706 Å, 90.00 90.00 135.44°
Fractional coordinates of all 10 atoms:
1 Be 0.2500 0.7500 0.8766
2 Be 0.7500 0.2500 0.1234
3 Pd 0.1065 0.8935 0.1295
4 Pd 0.1097 0.8903 0.6209
5 Pd 0.3903 0.6097 0.6209
6 Pd 0.3935 0.6065 0.1295
7 Pd 0.6065 0.3935 0.8705
8 Pd 0.6097 0.3903 0.3791
9 Pd 0.8903 0.1097 0.3791
10 Pd 0.8935 0.1065 0.8705

Most intense lines, 2θ = 10–90°, sorted by position:
2θ (°), intensity
34.0, 92
37.5, 37
43.4, 100
46.2, 26
47.4, 24
60.9, 18
62.0, 17
68.3, 16
77.9, 20
80.6, 15

(6)
Calculated powder diffraction line list of LiAsPd for CuKα, from a crystal structure in Alexandria, relaxed with PBE.
Intensities are scaled so that the largest is 100.

Structural model:
Cell: 4.6604 4.6604 4.6604 Å, 137.80 137.80 61.20°
Fractional coordinates of all 3 atoms:
1 Li 0.0000 0.0000 0.0000
2 As 0.6784 0.6784 0.0000
3 Pd 0.3242 0.3242 0.0000

Most intense lines, 2θ = 10–90°, sorted by position:
2θ (°), intensity
22.2, 52
28.8, 58
37.9, 76
43.3, 100
44.4, 32
54.7, 26
59.8, 13
64.4, 16
72.2, 43
89.4, 13